Structure and computed X-ray diffraction stick pattern of BiAu7 (a structure optimized by DFT (PBE); Cu Ka).

Top 6 peaks for 2θ = 5–70°, in order of rising 2θ:
Position (°2θ)  Rel. int.
5.04  1000
35.94  227
37.05  775
38.05  489
42.86  352
45.14  224

Cell and atoms:
```
data_BiAu7
_chemical_formula_sum 'Bi2 Au14'
_cell_length_a 3.047
_cell_length_b 4.019
_cell_length_c 35.101
_cell_angle_alpha 90.00
_cell_angle_beta 90.00
_cell_angle_gamma 90.00
_space_group_name_H-M_alt 'P m m n'
_space_group_IT_number 59
loop_
_space_group_symop_operation_xyz
'x,y,z'
'-x,-y,-z'
'-x+1/2,-y+1/2,z'
'x+1/2,y+1/2,-z'
'x+1/2,-y,-z'
'-x+1/2,y,z'
'-x,y+1/2,-z'
'x,-y+1/2,z'
loop_
_atom_site_label
_atom_site_type_symbol
_atom_site_fract_x
_atom_site_fract_y
_atom_site_fract_z
Bi1 Bi 0.250 0.250 0.176
Au1 Au 0.250 0.250 0.268
Au2 Au 0.250 0.250 0.353
Au3 Au 0.250 0.250 0.437
Au4 Au 0.250 0.250 0.521
Au5 Au 0.250 0.250 0.605
Au6 Au 0.250 0.250 0.689
Au7 Au 0.250 0.250 0.776
```



Structure and computed X-ray diffraction stick pattern of LiMgCdAu (a structure optimized by DFT (PBE); Cu Ka).

Top 6 peaks for 2θ = 5–70°, in order of rising 2θ:
Position (°2θ)  Rel. int.
23.48  918
38.81  1000
45.85  479
56.01  113
56.12  56
61.59  199

Cell and atoms:
```
data_LiMgCdAu
_chemical_formula_sum 'Li2 Mg2 Cd2 Au2'
_cell_length_a 4.644
_cell_length_b 4.644
_cell_length_c 6.555
_cell_angle_alpha 90.00
_cell_angle_beta 90.00
_cell_angle_gamma 90.00
_space_group_name_H-M_alt 'P -4 m 2'
_space_group_IT_number 115
loop_
_space_group_symop_operation_xyz
'x,y,z'
'y,-x,-z'
'-x,-y,z'
'-y,x,-z'
'-x,y,z'
'-y,-x,-z'
'x,-y,z'
'y,x,-z'
loop_
_atom_site_label
_atom_site_type_symbol
_atom_site_fract_x
_atom_site_fract_y
_atom_site_fract_z
Li1 Li 0.000 0.500 0.250
Mg1 Mg 0.000 0.000 0.000
Mg2 Mg 0.500 0.500 0.500
Cd1 Cd 0.000 0.000 0.500
Cd2 Cd 0.500 0.500 0.000
Au1 Au 0.000 0.500 0.750
```



Structure and computed X-ray diffraction stick pattern of Fe2Re3Pd3 (a structure optimized by DFT (PBE); Cu Ka).

Top 6 peaks for 2θ = 5–70°, in order of rising 2θ:
Position (°2θ)  Rel. int.
27.73  121
38.34  273
40.87  265
43.66  1000
57.28  170
69.32  162

Cell and atoms:
```
data_Fe2Re3Pd3
_chemical_formula_sum 'Fe2 Re3 Pd3'
_cell_length_a 5.4219
_cell_length_b 5.4219
_cell_length_c 4.4160
_cell_angle_alpha 90.00
_cell_angle_beta 90.00
_cell_angle_gamma 120.00
_space_group_name_H-M_alt 'P -6 m 2'
_space_group_IT_number 187
_space_group_name_Hall 'P -6 2'
loop_
_atom_site_label
_atom_site_type_symbol
_atom_site_fract_x
_atom_site_fract_y
_atom_site_fract_z
Fe1 Fe 0.0000 0.0000 0.0000
Fe2 Fe 0.3333 0.6667 0.5000
Re1 Re 0.0101 0.5050 0.0000
Pd1 Pd 0.3314 0.1657 0.5000
```



Structure and computed X-ray diffraction stick pattern of CdGaH14O7F5 (a structure optimized by DFT (PBE); Cu Ka).

Top 6 peaks for 2θ = 5–70°, in order of rising 2θ:
Position (°2θ)  Rel. int.
19.75  532
19.92  1000
20.33  269
20.60  773
22.98  272
25.53  454

Cell and atoms:
```
data_CdGaH14O7F5
_chemical_formula_sum 'Cd2 Ga2 H28 O14 F10'
_cell_length_a 5.724
_cell_length_b 9.096
_cell_length_c 9.656
_cell_angle_alpha 106.43
_cell_angle_beta 101.85
_cell_angle_gamma 94.84
_space_group_name_H-M_alt 'P -1'
_space_group_IT_number 2
loop_
_space_group_symop_operation_xyz
'x,y,z'
'-x,-y,-z'
loop_
_atom_site_label
_atom_site_type_symbol
_atom_site_fract_x
_atom_site_fract_y
_atom_site_fract_z
Cd1 Cd 0.084 0.324 0.255
Ga1 Ga 0.452 0.181 0.753
H1 H 0.102 0.830 0.264
H2 H 0.113 0.863 0.581
H3 H 0.128 0.256 0.517
H4 H 0.137 0.003 0.873
H5 H 0.165 0.314 0.973
H6 H 0.177 0.627 0.479
H7 H 0.234 0.493 0.069
H8 H 0.248 0.919 0.989
H9 H 0.286 0.914 0.425
H10 H 0.309 0.487 0.745
H11 H 0.344 0.616 0.904
H12 H 0.414 0.592 0.425
H13 H 0.427 0.121 0.236
H14 H 0.454 0.707 0.732
O1 O 0.025 0.758 0.559
O2 O 0.117 0.906 0.899
O3 O 0.137 0.394 0.058
O4 O 0.264 0.831 0.328
O5 O 0.266 0.541 0.439
O6 O 0.290 0.595 0.795
O7 O 0.433 0.228 0.301
F1 F 0.155 0.173 0.822
F2 F 0.274 0.019 0.580
F3 F 0.356 0.325 0.649
F4 F 0.410 0.646 0.079
F5 F 0.444 0.953 0.137
```



Structure and computed X-ray diffraction stick pattern of MgTcNO (a structure optimized by DFT (PBE); Cu Ka).

Top 6 peaks for 2θ = 5–70°, in order of rising 2θ:
Position (°2θ)  Rel. int.
16.16  1000
32.68  996
34.00  895
36.69  810
44.76  784
56.50  579

Cell and atoms:
```
data_MgTcNO
_chemical_formula_sum 'Mg1 Tc1 N1 O1'
_cell_length_a 2.737
_cell_length_b 3.007
_cell_length_c 5.485
_cell_angle_alpha 90.00
_cell_angle_beta 90.00
_cell_angle_gamma 90.00
_space_group_name_H-M_alt 'P m m 2'
_space_group_IT_number 25
loop_
_space_group_symop_operation_xyz
'x,y,z'
'-x,-y,z'
'-x,y,z'
'x,-y,z'
loop_
_atom_site_label
_atom_site_type_symbol
_atom_site_fract_x
_atom_site_fract_y
_atom_site_fract_z
Mg1 Mg 0.000 0.000 0.000
Tc1 Tc 0.500 0.500 0.524
N1 N 0.500 0.000 0.322
O1 O 0.500 0.500 0.898
```



Structure and computed X-ray diffraction stick pattern of Dy2NClF (a structure optimized by DFT (PBE); Cu Ka).

Top 6 peaks for 2θ = 5–70°, in order of rising 2θ:
Position (°2θ)  Rel. int.
10.74  750
29.37  298
31.35  689
36.73  1000
52.09  290
53.75  246

Cell and atoms:
```
data_Dy2NClF
_chemical_formula_sum 'Dy2 N1 Cl1 F1'
_cell_length_a 3.5116
_cell_length_b 3.5116
_cell_length_c 8.2396
_cell_angle_alpha 90.00
_cell_angle_beta 90.00
_cell_angle_gamma 120.00
_space_group_name_H-M_alt 'P 3 m 1'
_space_group_IT_number 156
loop_
_space_group_symop_operation_xyz
'x,y,z'
'-y,x-y,z'
'-x+y,-x,z'
'-y,-x,z'
'-x+y,y,z'
'x,x-y,z'
loop_
_atom_site_label
_atom_site_type_symbol
_atom_site_fract_x
_atom_site_fract_y
_atom_site_fract_z
Dy1 Dy 0.0000 0.0000 0.0000
Dy2 Dy 0.3333 0.6667 0.3212
N1 N 0.6667 0.3333 0.1650
Cl1 Cl 0.3333 0.6667 0.7793
F1 F 0.0000 0.0000 0.4623
```



Structure and computed X-ray diffraction stick pattern of Sr2Au3 (a structure optimized by DFT (PBE); Cu Ka).

Top 6 peaks for 2θ = 5–70°, in order of rising 2θ:
Position (°2θ)  Rel. int.
21.16  379
30.84  330
32.84  1000
35.40  557
41.61  328
56.94  287

Cell and atoms:
```
data_Sr2Au3
_chemical_formula_sum 'Sr4 Au6'
_cell_length_a 8.018
_cell_length_b 8.018
_cell_length_c 4.199
_cell_angle_alpha 90.00
_cell_angle_beta 90.00
_cell_angle_gamma 90.00
_space_group_name_H-M_alt 'P 4/m b m'
_space_group_IT_number 127
_space_group_name_Hall '-P 4 2ab'
loop_
_atom_site_label
_atom_site_type_symbol
_atom_site_fract_x
_atom_site_fract_y
_atom_site_fract_z
Sr1 Sr 0.177 0.323 0.000
Au1 Au 0.000 0.000 0.500
Au2 Au 0.125 0.625 0.500
```



Structure and computed X-ray diffraction stick pattern of LiPr3ScO8 (a structure optimized by DFT (PBE); Cu Ka).

Top 6 peaks for 2θ = 5–70°, in order of rising 2θ:
Position (°2θ)  Rel. int.
24.82  415
28.59  1000
28.70  346
38.20  995
46.03  333
50.65  506

Cell and atoms:
```
data_LiPr3ScO8
_chemical_formula_sum 'Li1 Pr3 Sc1 O8'
_cell_length_a 7.2115
_cell_length_b 7.2115
_cell_length_c 3.5870
_cell_angle_alpha 90.00
_cell_angle_beta 90.00
_cell_angle_gamma 120.00
_space_group_name_H-M_alt 'P 3 m 1'
_space_group_IT_number 156
loop_
_space_group_symop_operation_xyz
'x,y,z'
'-y,x-y,z'
'-x+y,-x,z'
'-y,-x,z'
'-x+y,y,z'
'x,x-y,z'
loop_
_atom_site_label
_atom_site_type_symbol
_atom_site_fract_x
_atom_site_fract_y
_atom_site_fract_z
Li1 Li 0.0000 0.0000 0.0000
Pr1 Pr 0.1774 0.3547 0.4928
Sc1 Sc 0.6667 0.3333 0.0077
O1 O 0.0000 0.0000 0.5016
O2 O 0.3031 0.1516 0.9957
O3 O 0.3333 0.6667 0.9858
O4 O 0.5429 0.0858 0.4808
```